[1]
Theoretical X-ray diffraction stick pattern of TaCl5 for Cu Kα (weighted mean of Kα1 and Kα2), from the GGA-PBE geometry in OQMD.
Kinematic intensities with the Lorentz-polarization factor, no thermal factor.

Atomic structure:
a b c (Å): 7.321 8.049 6.477
angles (deg): 90.00 90.00 90.00
Space group Pmmn (No. 59, origin choice 2)
Symmetry-distinct sites (fractional):
Ta 0.250 0.250 0.175 [2 per cell]
Cl 0.016 0.750 0.645 [4 per cell]
Cl 0.250 0.250 0.824 [2 per cell]
Cl 0.250 0.540 0.171 [4 per cell]

Principal peaks in the range 2θ = 15–90°, low angle first:
| index | 2theta | d/Å | intensity |
| --- | --- | --- | --- |
| 1 1 0 | 16.4 | 5.416 | 100 |
| 0 1 1 | 17.6 | 5.046 | 67 |
| 1 0 1 | 18.3 | 4.851 | 75 |
| 1 1 1 | 21.4 | 4.155 | 26 |
| 0 2 0 | 22.1 | 4.025 | 35 |
| 2 0 0 | 24.3 | 3.661 | 26 |
| 2 0 1 | 28.0 | 3.187 | 24 |
| 1 0 2 | 30.2 | 2.962 | 25 |
| 1 3 0 | 35.6 | 2.520 | 32 |
| 2 0 3 | 49.0 | 1.859 | 27 |


[2]
Theoretical X-ray diffraction stick pattern of NdErNi2Sn for Cu Kα (weighted mean of Kα1 and Kα2), from the GGA-PBE geometry in OQMD.
Kinematic intensities with the Lorentz-polarization factor, no thermal factor.

Atomic structure:
a b c (Å): 3.698 4.017 14.050
angles (deg): 90.00 90.00 90.00
Space group Amm2 (No. 38)
Symmetry-distinct sites (fractional):
Nd 0.000 0.000 0.000 [2 per cell]
Er 0.000 0.000 0.272 [2 per cell]
Ni 0.500 0.000 0.432 [2 per cell]
Ni 0.500 0.000 0.830 [2 per cell]
Sn 0.500 0.000 0.640 [2 per cell]

Principal peaks in the range 2θ = 15–90°, low angle first:
| index | 2theta | d/Å | intensity |
| --- | --- | --- | --- |
| 0 1 3 | 29.3 | 3.049 | 40 |
| 1 1 1 | 33.6 | 2.671 | 100 |
| 1 0 4 | 35.2 | 2.547 | 68 |
| 1 1 3 | 38.3 | 2.352 | 32 |
| 0 1 5 | 39.1 | 2.303 | 36 |
| 0 2 0 | 45.1 | 2.009 | 26 |
| 2 0 0 | 49.3 | 1.849 | 20 |
| 1 1 7 | 57.0 | 1.615 | 17 |
| 1 2 4 | 58.5 | 1.577 | 32 |
| 2 1 5 | 64.7 | 1.442 | 16 |


[3]
Theoretical X-ray diffraction stick pattern of NbSb2O4 for Cu Kα (weighted mean of Kα1 and Kα2), from the GGA-PBE geometry in OQMD.
Kinematic intensities with the Lorentz-polarization factor, no thermal factor.

Atomic structure:
a b c (Å): 6.925 6.925 9.786
angles (deg): 90.00 90.00 90.00
Space group I4_1/amd (No. 141, origin choice 2)
Symmetry-distinct sites (fractional):
Nb 0.000 0.250 0.375 [4 per cell]
Sb 0.000 0.000 0.000 [8 per cell]
O 0.000 0.028 0.264 [16 per cell]

Principal peaks in the range 2θ = 15–90°, low angle first:
| index | 2theta | d/Å | intensity |
| --- | --- | --- | --- |
| 2 0 0 | 25.7 | 3.461 | 20 |
| 2 1 1 | 30.3 | 2.952 | 100 |
| 2 0 2 | 31.7 | 2.826 | 25 |
| 2 2 0 | 36.7 | 2.448 | 18 |
| 3 0 3 | 48.3 | 1.884 | 32 |
| 4 0 0 | 52.9 | 1.731 | 42 |
| 4 1 3 | 62.2 | 1.493 | 12 |
| 4 2 2 | 63.0 | 1.476 | 13 |
| 5 2 1 | 74.4 | 1.275 | 23 |
| 6 1 1 | 86.0 | 1.131 | 11 |


[4]
Theoretical X-ray diffraction stick pattern of Tm2AlGe for Cu Kα (weighted mean of Kα1 and Kα2), from the GGA-PBE geometry in OQMD.
Kinematic intensities with the Lorentz-polarization factor, no thermal factor.

Atomic structure:
a b c (Å): 3.975 4.292 10.707
angles (deg): 90.00 90.00 90.00
Space group Amm2 (No. 38)
Symmetry-distinct sites (fractional):
Tm 0.000 0.000 0.000 [2 per cell]
Tm 0.500 0.000 0.281 [2 per cell]
Al 0.000 0.000 0.718 [2 per cell]
Ge 0.500 0.000 0.561 [2 per cell]

Principal peaks in the range 2θ = 15–90°, low angle first:
| index | 2theta | d/Å | intensity |
| --- | --- | --- | --- |
| 0 1 1 | 22.3 | 3.983 | 21 |
| 1 0 2 | 28.0 | 3.192 | 43 |
| 1 1 1 | 31.8 | 2.814 | 100 |
| 0 1 3 | 32.6 | 2.744 | 46 |
| 0 0 4 | 33.5 | 2.677 | 28 |
| 1 1 3 | 39.9 | 2.258 | 38 |
| 0 2 0 | 42.1 | 2.146 | 23 |
| 2 0 0 | 45.6 | 1.988 | 18 |
| 1 2 2 | 51.3 | 1.780 | 21 |
| 2 1 3 | 57.2 | 1.610 | 19 |


[5]
Theoretical X-ray diffraction stick pattern of Ta3Nb3Sb2 for Cu Kα (weighted mean of Kα1 and Kα2), from the GGA-PBE geometry in OQMD.
Kinematic intensities with the Lorentz-polarization factor, no thermal factor.

Atomic structure:
a b c (Å): 7.4970 7.4970 9.1798
angles (deg): 90.00 90.00 120.00
Space group R32 (No. 155, hexagonal axes)
Symmetry-distinct sites (fractional):
Ta 0.0000 0.2494 0.0000 [9 per cell]
Nb 0.0000 0.7495 0.5000 [9 per cell]
Sb 0.0000 0.0000 0.2501 [6 per cell]

Principal peaks in the range 2θ = 15–90°, low angle first:
| index | 2theta | d/Å | intensity |
| --- | --- | --- | --- |
| 2 0 2 | 33.8 | 2.650 | 30 |
| 2 1 1 | 38.0 | 2.371 | 100 |
| 1 2 2 | 41.7 | 2.164 | 70 |
| 0 4 2 | 60.5 | 1.530 | 9 |
| 1 2 5 | 63.3 | 1.470 | 22 |
| 2 3 2 | 65.9 | 1.417 | 36 |
| 4 0 4 | 71.1 | 1.325 | 14 |
| 4 2 2 | 81.1 | 1.185 | 9 |
| 3 3 3 | 83.6 | 1.157 | 21 |
| 1 5 2 | 86.0 | 1.130 | 9 |


[6]
Theoretical X-ray diffraction stick pattern of AlCuTcH6 for Cu Kα (weighted mean of Kα1 and Kα2), from the GGA-PBE geometry in OQMD.
Kinematic intensities with the Lorentz-polarization factor, no thermal factor.

Atomic structure:
a b c (Å): 6.174 6.174 6.174
angles (deg): 90.00 90.00 90.00
Space group F-43m (No. 216)
Symmetry-distinct sites (fractional):
Al 0.000 0.000 0.000 [4 per cell]
Cu 0.250 0.250 0.250 [4 per cell]
Tc 0.250 0.250 0.750 [4 per cell]
H 0.000 0.000 0.279 [24 per cell]

Principal peaks in the range 2θ = 15–90°, low angle first:
| index | 2theta | d/Å | intensity |
| --- | --- | --- | --- |
| 1 1 1 | 25.0 | 3.565 | 11 |
| 2 0 0 | 28.9 | 3.087 | 69 |
| 2 2 0 | 41.4 | 2.183 | 100 |
| 3 1 1 | 48.9 | 1.862 | 6 |
| 2 2 2 | 51.3 | 1.782 | 20 |
| 4 0 0 | 59.9 | 1.544 | 17 |
| 3 3 1 | 65.9 | 1.417 | 2 |
| 4 2 0 | 67.9 | 1.381 | 23 |
| 4 2 2 | 75.4 | 1.260 | 32 |
| 4 4 0 | 89.9 | 1.092 | 11 |


[7]
Theoretical X-ray diffraction stick pattern of Be2NiB for Cu Kα (weighted mean of Kα1 and Kα2), from the GGA-PBE geometry in OQMD.
Kinematic intensities with the Lorentz-polarization factor, no thermal factor.

Atomic structure:
a b c (Å): 4.975 4.975 4.975
angles (deg): 90.00 90.00 90.00
Space group F-43m (No. 216)
Symmetry-distinct sites (fractional):
Be 0.000 0.000 0.000 [4 per cell]
Be 0.250 0.250 0.250 [4 per cell]
Ni 0.250 0.250 0.750 [4 per cell]
B 0.000 0.000 0.500 [4 per cell]

Principal peaks in the range 2θ = 15–90°, low angle first:
| index | 2theta | d/Å | intensity |
| --- | --- | --- | --- |
| 1 1 1 | 31.1 | 2.872 | 100 |
| 2 0 0 | 36.1 | 2.488 | 47 |
| 2 2 0 | 52.0 | 1.759 | 67 |
| 3 1 1 | 61.9 | 1.500 | 38 |
| 2 2 2 | 64.9 | 1.436 | 10 |
| 4 0 0 | 76.6 | 1.244 | 10 |
| 3 3 1 | 85.0 | 1.141 | 14 |
| 4 2 0 | 87.7 | 1.112 | 13 |


[8]
Theoretical X-ray diffraction stick pattern of KCu3GeS4 for Cu Kα (weighted mean of Kα1 and Kα2), from the GGA-PBE geometry in OQMD.
Kinematic intensities with the Lorentz-polarization factor, no thermal factor.

Atomic structure:
a b c (Å): 5.911 5.911 5.911
angles (deg): 90.00 90.00 90.00
Space group P-43m (No. 215)
Symmetry-distinct sites (fractional):
K 0.000 0.000 0.000 [1 per cell]
Cu 0.000 0.500 0.500 [3 per cell]
Ge 0.500 0.500 0.500 [1 per cell]
S 0.284 0.284 0.284 [4 per cell]

Principal peaks in the range 2θ = 15–90°, low angle first:
| index | 2theta | d/Å | intensity |
| --- | --- | --- | --- |
| 1 1 1 | 26.1 | 3.413 | 68 |
| 2 0 0 | 30.2 | 2.955 | 31 |
| 2 1 0 | 33.9 | 2.643 | 13 |
| 2 2 0 | 43.3 | 2.090 | 100 |
| 2 2 1 | 46.1 | 1.970 | 16 |
| 3 1 1 | 51.3 | 1.782 | 25 |
| 3 2 0 | 56.1 | 1.639 | 15 |
| 4 0 0 | 62.9 | 1.478 | 14 |
| 4 2 0 | 71.4 | 1.322 | 14 |
| 4 2 2 | 79.4 | 1.207 | 25 |